Record 1
The following is a computed powder diffractogram of TeP. It was derived from a GGA-PBE-relaxed structure, using Cu Ka.
Neutral-atom scattering factors, no anomalous dispersion.

Principal peaks in the range 5 to 70 degrees two-theta, low angle first:
index, 2θ/deg, I (rel.)
0 0 1, 9.51, 73
2 0 -1, 16.12, 44
2 0 1, 20.27, 25
2 0 -2, 21.45, 32
2 0 2, 27.68, 48
0 0 3, 28.80, 25
2 0 -3, 29.15, 26
1 1 1, 29.49, 100
4 0 -1, 30.53, 29
3 1 -2, 37.34, 35

Structural model:
Lattice parameters (Å, degrees): 11.732 3.432 9.607 90.00 104.54 90.00
Space group Cm (No. 8)
Unique sites:
Te1 0.000 0.000 0.000 [2 per cell]
Te2 0.101 0.500 0.390 [2 per cell]
Te3 0.280 0.500 0.257 [2 per cell]
P1 0.192 0.500 0.661 [2 per cell]
P2 0.324 0.000 0.682 [2 per cell]
P3 0.339 0.000 0.921 [2 per cell]


Record 2
The following is a computed powder diffractogram of K3LiTl4Cl8. It was derived from a GGA-PBE-relaxed structure, using Cu Ka.
Neutral-atom scattering factors, no anomalous dispersion.

Principal peaks in the range 5 to 70 degrees two-theta, low angle first:
index, 2θ/deg, I (rel.)
0 0 1, 11.99, 93
2 2 -1, 23.49, 53
4 0 -2, 24.44, 60
4 0 0, 27.96, 53
2 2 -2, 28.32, 100
2 2 1, 30.70, 29
2 2 2, 40.03, 38
6 2 -2, 40.40, 38
2 2 -4, 47.44, 23
4 4 0, 50.09, 29

Structural model:
Lattice parameters (Å, degrees): 15.507 8.863 8.965 90.00 124.58 90.00
Space group C2/m (No. 12)
Unique sites:
K1 0.000 0.000 0.000 [2 per cell]
K2 0.250 0.250 0.000 [4 per cell]
Li1 0.000 0.500 0.000 [2 per cell]
Tl1 0.000 0.000 0.500 [2 per cell]
Tl2 0.000 0.500 0.500 [2 per cell]
Tl3 0.250 0.250 0.500 [4 per cell]
Cl1 0.003 0.277 0.785 [8 per cell]
Cl2 0.247 0.000 0.239 [4 per cell]
Cl3 0.249 0.000 0.756 [4 per cell]


Record 3
The following is a computed powder diffractogram of Li2Ti3HgO8. It was derived from a GGA-PBE-relaxed structure, using Cu Ka.
Neutral-atom scattering factors, no anomalous dispersion.

Principal peaks in the range 5 to 70 degrees two-theta, low angle first:
index, 2θ/deg, I (rel.)
0 0 3, 17.21, 26
1 0 1, 17.77, 78
0 1 2, 20.39, 100
1 0 4, 28.64, 72
1 1 0, 29.34, 29
0 1 5, 33.61, 38
1 1 3, 34.21, 81
0 2 1, 34.51, 63
0 2 7, 54.19, 25
1 2 5, 54.81, 26

Structural model:
Lattice parameters (Å, degrees): 6.0887 6.0887 15.4551 90.00 90.00 120.00
Space group R3m (No. 160, hexagonal axes)
Unique sites:
Li1 0.0000 0.0000 0.0000 [3 per cell]
Li2 0.0000 0.0000 0.3915 [3 per cell]
Ti1 0.1706 0.3412 0.8345 [9 per cell]
Hg1 0.0000 0.0000 0.6261 [3 per cell]
O1 0.0000 0.0000 0.2383 [3 per cell]
O2 0.0000 0.0000 0.7684 [3 per cell]
O3 0.0292 0.5146 0.7695 [9 per cell]
O4 0.1910 0.3820 0.5702 [9 per cell]


Record 4
The following is a computed powder diffractogram of SrB5Pt7. It was derived from a GGA-PBE-relaxed structure, using Cu Ka.
Neutral-atom scattering factors, no anomalous dispersion.

Principal peaks in the range 5 to 70 degrees two-theta, low angle first:
index, 2θ/deg, I (rel.)
0 1 1, 12.49, 36
1 2 1, 33.00, 47
1 0 3, 34.21, 100
0 2 4, 36.97, 33
0 3 3, 38.09, 27
1 3 0, 39.32, 29
1 3 2, 42.43, 18
2 0 0, 51.17, 21
2 2 4, 64.78, 15
1 2 7, 65.57, 28

Structural model:
Lattice parameters (Å, degrees): 3.571 8.962 11.581 90.00 90.00 90.00
Space group Imm2 (No. 44)
Unique sites:
Sr1 0.000 0.000 0.000 [2 per cell]
B1 0.000 0.500 0.296 [2 per cell]
B2 0.242 0.267 0.681 [8 per cell]
Pt1 0.000 0.000 0.410 [2 per cell]
Pt2 0.000 0.000 0.689 [2 per cell]
Pt3 0.000 0.279 0.349 [4 per cell]
Pt4 0.000 0.331 0.031 [4 per cell]
Pt5 0.000 0.500 0.718 [2 per cell]


Record 5
The following is a computed powder diffractogram of Ce4Th2Pa. It was derived from a GGA-PBE-relaxed structure, using Cu Ka.
Neutral-atom scattering factors, no anomalous dispersion.

Principal peaks in the range 5 to 70 degrees two-theta, low angle first:
index, 2θ/deg, I (rel.)
1 1 3, 28.98, 81
0 4 0, 32.17, 55
2 2 0, 33.38, 100
0 2 4, 35.67, 26
1 3 3, 37.06, 43
2 0 4, 43.60, 15
1 5 3, 49.87, 19
3 1 3, 51.57, 17
2 4 4, 55.20, 15
2 6 0, 58.13, 21

Structural model:
Lattice parameters (Å, degrees): 6.128 11.131 11.289 90.00 90.00 90.00
Space group Fmmm (No. 69)
Unique sites:
Ce1 0.250 0.250 0.000 [8 per cell]
Ce2 0.250 0.250 0.250 [8 per cell]
Th1 0.000 0.000 0.150 [8 per cell]
Pa1 0.000 0.000 0.500 [4 per cell]


Record 6
The following is a computed powder diffractogram of Tl2BiHCl6. It was derived from a GGA-PBE-relaxed structure, using Cu Ka.
Neutral-atom scattering factors, no anomalous dispersion.

Principal peaks in the range 5 to 70 degrees two-theta, low angle first:
index, 2θ/deg, I (rel.)
1 0 0, 14.02, 59
1 1 0, 20.56, 87
1 1 -1, 20.98, 83
1 1 -2, 22.96, 100
0 0 4, 23.25, 60
1 1 -4, 30.13, 95
2 0 2, 31.73, 58
1 1 4, 32.32, 63
0 2 2, 32.44, 70
2 2 0, 41.82, 88

Structural model:
Lattice parameters (Å, degrees): 6.351 5.919 15.385 90.00 95.85 90.00
Space group P2_1/c (No. 14)
Unique sites:
Tl1 0.246 0.213 0.281 [4 per cell]
Bi1 0.000 0.000 0.000 [2 per cell]
H1 0.500 0.000 0.500 [2 per cell]
Cl1 0.152 0.724 0.365 [4 per cell]
Cl2 0.194 0.739 0.636 [4 per cell]
Cl3 0.368 0.224 0.497 [4 per cell]